1.
For CdI2, a structure optimized by DFT (PBE) gives the simulated XRD peak list in this record (Cu Kα (weighted mean of Kα1 and Kα2)).

Structure:
Lattice parameters (Å, degrees): 4.3356 4.3356 89.7826 90.00 90.00 120.00
Fractional coordinates of all 36 atoms:
Cd 0.0000 0.0000 0.0000
Cd 0.0000 0.0000 0.0834
Cd 0.0000 0.0000 0.2500
Cd 0.0000 0.0000 0.4167
Cd 0.0000 0.0000 0.6667
Cd 0.0000 0.0000 0.7500
Cd 0.3333 0.6667 0.1666
Cd 0.3333 0.6667 0.3333
Cd 0.3333 0.6667 0.5000
Cd 0.3333 0.6667 0.5833
Cd 0.3333 0.6667 0.8333
Cd 0.3333 0.6667 0.9167
I 0.0000 0.0000 0.1475
I 0.0000 0.0000 0.3141
I 0.0000 0.0000 0.4808
I 0.0000 0.0000 0.5641
I 0.0000 0.0000 0.8141
I 0.0000 0.0000 0.8975
I 0.3333 0.6667 0.0642
I 0.3333 0.6667 0.2308
I 0.3333 0.6667 0.3975
I 0.3333 0.6667 0.6475
I 0.3333 0.6667 0.7308
I 0.3333 0.6667 0.9808
I 0.6667 0.3333 0.0192
I 0.6667 0.3333 0.1025
I 0.6667 0.3333 0.1858
I 0.6667 0.3333 0.2692
I 0.6667 0.3333 0.3525
I 0.6667 0.3333 0.4359
I 0.6667 0.3333 0.5192
I 0.6667 0.3333 0.6025
I 0.6667 0.3333 0.6859
I 0.6667 0.3333 0.7692
I 0.6667 0.3333 0.8525
I 0.6667 0.3333 0.9358

Principal peaks in the range 2θ = 10–80°, most intense first:
26.56 deg, intensity 100, (1 0 12)
11.83 deg, intensity 62, (0 0 12)
41.66 deg, intensity 53, (1 1 0)
43.57 deg, intensity 26, (1 0 36)
33.82 deg, intensity 23, (1 0 24)
65.96 deg, intensity 22, (1 1 48)

=====

2.
For CdI2, a structure optimized by DFT (PBE) gives the simulated XRD peak list in this record (Cu Kα (weighted mean of Kα1 and Kα2)).

Structure:
Lattice parameters (Å, degrees): 4.3336 4.3336 136.4200 90.00 90.00 120.00
Fractional coordinates of all 54 atoms:
Cd 0.0000 0.0000 0.0000
Cd 0.0000 0.0000 0.0556
Cd 0.0000 0.0000 0.1111
Cd 0.0000 0.0000 0.1667
Cd 0.0000 0.0000 0.2223
Cd 0.0000 0.0000 0.3334
Cd 0.0000 0.0000 0.4445
Cd 0.0000 0.0000 0.5556
Cd 0.0000 0.0000 0.6667
Cd 0.0000 0.0000 0.7223
Cd 0.0000 0.0000 0.7778
Cd 0.0000 0.0000 0.8890
Cd 0.3333 0.6667 0.2778
Cd 0.3333 0.6667 0.3889
Cd 0.3333 0.6667 0.5000
Cd 0.3333 0.6667 0.6111
Cd 0.3333 0.6667 0.8334
Cd 0.3333 0.6667 0.9445
I 0.0000 0.0000 0.2652
I 0.0000 0.0000 0.3762
I 0.0000 0.0000 0.4874
I 0.0000 0.0000 0.5985
I 0.0000 0.0000 0.8208
I 0.0000 0.0000 0.9319
I 0.3333 0.6667 0.0430
I 0.3333 0.6667 0.0985
I 0.3333 0.6667 0.1540
I 0.3333 0.6667 0.2096
I 0.3333 0.6667 0.3207
I 0.3333 0.6667 0.4318
I 0.3333 0.6667 0.5430
I 0.3333 0.6667 0.6540
I 0.3333 0.6667 0.7096
I 0.3333 0.6667 0.7652
I 0.3333 0.6667 0.8763
I 0.3333 0.6667 0.9873
I 0.6667 0.3333 0.0127
I 0.6667 0.3333 0.0683
I 0.6667 0.3333 0.1238
I 0.6667 0.3333 0.1793
I 0.6667 0.3333 0.2349
I 0.6667 0.3333 0.2904
I 0.6667 0.3333 0.3460
I 0.6667 0.3333 0.4015
I 0.6667 0.3333 0.4571
I 0.6667 0.3333 0.5127
I 0.6667 0.3333 0.5683
I 0.6667 0.3333 0.6238
I 0.6667 0.3333 0.6793
I 0.6667 0.3333 0.7349
I 0.6667 0.3333 0.7905
I 0.6667 0.3333 0.8460
I 0.6667 0.3333 0.9016
I 0.6667 0.3333 0.9571

Principal peaks in the range 2θ = 10–80°, most intense first:
26.50 deg, intensity 100, (1 0 18)
11.68 deg, intensity 64, (0 0 18)
41.68 deg, intensity 50, (1 1 0)
33.61 deg, intensity 29, (1 0 36)
29.65 deg, intensity 28, (1 0 27)
43.17 deg, intensity 27, (0 1 54)

=====

3.
For CdI2, a structure optimized by DFT (PBE) gives the simulated XRD peak list in this record (Cu Kα (weighted mean of Kα1 and Kα2)).

Structure:
Lattice parameters (Å, degrees): 4.3441 4.3441 73.6484 90.00 90.00 120.00
Fractional coordinates of all 30 atoms:
Cd 0.0000 0.0000 0.0000
Cd 0.0000 0.0000 0.1000
Cd 0.0000 0.0000 0.3000
Cd 0.0000 0.0000 0.5000
Cd 0.0000 0.0000 0.8000
Cd 0.6667 0.3333 0.2000
Cd 0.6667 0.3333 0.4000
Cd 0.6667 0.3333 0.6000
Cd 0.6667 0.3333 0.7000
Cd 0.6667 0.3333 0.9000
I 0.0000 0.0000 0.1765
I 0.0000 0.0000 0.3765
I 0.0000 0.0000 0.5765
I 0.0000 0.0000 0.6765
I 0.0000 0.0000 0.8765
I 0.3333 0.6667 0.0235
I 0.3333 0.6667 0.1235
I 0.3333 0.6667 0.2235
I 0.3333 0.6667 0.3235
I 0.3333 0.6667 0.4235
I 0.3333 0.6667 0.5235
I 0.3333 0.6667 0.6235
I 0.3333 0.6667 0.7235
I 0.3333 0.6667 0.8235
I 0.3333 0.6667 0.9235
I 0.6667 0.3333 0.0765
I 0.6667 0.3333 0.2765
I 0.6667 0.3333 0.4765
I 0.6667 0.3333 0.7765
I 0.6667 0.3333 0.9765

Principal peaks in the range 2θ = 10–80°, most intense first:
26.61 deg, intensity 100, (1 0 10)
12.02 deg, intensity 53, (0 0 10)
41.58 deg, intensity 53, (1 1 0)
30.69 deg, intensity 26, (1 0 16)
44.05 deg, intensity 25, (0 1 30)
29.18 deg, intensity 25, (1 0 14)

=====

4.
For CdI2, a structure optimized by DFT (PBE) gives the simulated XRD peak list in this record (Cu Kα (weighted mean of Kα1 and Kα2)).

Structure:
Lattice parameters (Å, degrees): 4.3419 4.3419 146.8011 90.00 90.00 120.00
Fractional coordinates of all 60 atoms:
Cd 0.0000 0.0000 0.0000
Cd 0.0000 0.0000 0.0500
Cd 0.0000 0.0000 0.1500
Cd 0.0000 0.0000 0.2500
Cd 0.0000 0.0000 0.3500
Cd 0.0000 0.0000 0.4500
Cd 0.0000 0.0000 0.5500
Cd 0.0000 0.0000 0.6500
Cd 0.0000 0.0000 0.7500
Cd 0.0000 0.0000 0.9000
Cd 0.3333 0.6667 0.1000
Cd 0.3333 0.6667 0.2000
Cd 0.3333 0.6667 0.3000
Cd 0.3333 0.6667 0.4000
Cd 0.3333 0.6667 0.5000
Cd 0.3333 0.6667 0.6000
Cd 0.3333 0.6667 0.7000
Cd 0.3333 0.6667 0.8000
Cd 0.3333 0.6667 0.8500
Cd 0.3333 0.6667 0.9500
I 0.0000 0.0000 0.0882
I 0.0000 0.0000 0.1882
I 0.0000 0.0000 0.2882
I 0.0000 0.0000 0.3882
I 0.0000 0.0000 0.4882
I 0.0000 0.0000 0.5882
I 0.0000 0.0000 0.6882
I 0.0000 0.0000 0.7882
I 0.0000 0.0000 0.8382
I 0.0000 0.0000 0.9382
I 0.3333 0.6667 0.0382
I 0.3333 0.6667 0.1382
I 0.3333 0.6667 0.2382
I 0.3333 0.6667 0.3382
I 0.3333 0.6667 0.4382
I 0.3333 0.6667 0.5382
I 0.3333 0.6667 0.6382
I 0.3333 0.6667 0.7382
I 0.3333 0.6667 0.8882
I 0.3333 0.6667 0.9882
I 0.6667 0.3333 0.0118
I 0.6667 0.3333 0.0618
I 0.6667 0.3333 0.1118
I 0.6667 0.3333 0.1618
I 0.6667 0.3333 0.2118
I 0.6667 0.3333 0.2618
I 0.6667 0.3333 0.3118
I 0.6667 0.3333 0.3618
I 0.6667 0.3333 0.4118
I 0.6667 0.3333 0.4618
I 0.6667 0.3333 0.5118
I 0.6667 0.3333 0.5618
I 0.6667 0.3333 0.6118
I 0.6667 0.3333 0.6618
I 0.6667 0.3333 0.7118
I 0.6667 0.3333 0.7618
I 0.6667 0.3333 0.8118
I 0.6667 0.3333 0.8618
I 0.6667 0.3333 0.9118
I 0.6667 0.3333 0.9618

Principal peaks in the range 2θ = 10–80°, most intense first:
26.64 deg, intensity 100, (1 0 20)
41.60 deg, intensity 53, (1 1 0)
12.06 deg, intensity 52, (0 0 20)
44.16 deg, intensity 25, (0 1 60)
29.97 deg, intensity 24, (1 0 30)
66.75 deg, intensity 23, (1 1 80)

=====

5.
For CdI2, a structure optimized by DFT (PBE) gives the simulated XRD peak list in this record (Cu Kα (weighted mean of Kα1 and Kα2)).

Structure:
Lattice parameters (Å, degrees): 4.3439 4.3439 81.0374 90.00 90.00 120.00
Fractional coordinates of all 33 atoms:
Cd 0.0000 0.0000 0.0000
Cd 0.0000 0.0000 0.0909
Cd 0.0000 0.0000 0.1818
Cd 0.0000 0.0000 0.2727
Cd 0.0000 0.0000 0.4545
Cd 0.0000 0.0000 0.6364
Cd 0.0000 0.0000 0.8182
Cd 0.3333 0.6667 0.3637
Cd 0.6667 0.3333 0.5455
Cd 0.6667 0.3333 0.7273
Cd 0.6667 0.3333 0.9091
I 0.0000 0.0000 0.3850
I 0.0000 0.0000 0.5241
I 0.0000 0.0000 0.7059
I 0.0000 0.0000 0.8878
I 0.3333 0.6667 0.0214
I 0.3333 0.6667 0.1123
I 0.3333 0.6667 0.2032
I 0.3333 0.6667 0.2941
I 0.3333 0.6667 0.4759
I 0.3333 0.6667 0.5668
I 0.3333 0.6667 0.6577
I 0.3333 0.6667 0.7486
I 0.3333 0.6667 0.8396
I 0.3333 0.6667 0.9305
I 0.6667 0.3333 0.0696
I 0.6667 0.3333 0.1604
I 0.6667 0.3333 0.2514
I 0.6667 0.3333 0.3423
I 0.6667 0.3333 0.4332
I 0.6667 0.3333 0.6150
I 0.6667 0.3333 0.7968
I 0.6667 0.3333 0.9786

Principal peaks in the range 2θ = 10–80°, most intense first:
26.61 deg, intensity 100, (0 1 11)
12.01 deg, intensity 58, (0 0 11)
41.58 deg, intensity 57, (1 1 0)
29.58 deg, intensity 26, (1 0 16)
44.04 deg, intensity 25, (1 0 33)
66.57 deg, intensity 25, (1 1 44)

=====

6.
For CdI2, a structure optimized by DFT (PBE) gives the simulated XRD peak list in this record (Cu Kα (weighted mean of Kα1 and Kα2)).

Structure:
Lattice parameters (Å, degrees): 4.3375 4.3375 125.8069 90.00 90.00 120.00
Fractional coordinates of all 48 atoms:
Cd 0.0000 0.0000 0.0000
Cd 0.0000 0.0000 0.0625
Cd 0.0000 0.0000 0.1875
Cd 0.0000 0.0000 0.2500
Cd 0.0000 0.0000 0.3750
Cd 0.0000 0.0000 0.5000
Cd 0.0000 0.0000 0.6250
Cd 0.0000 0.0000 0.7500
Cd 0.0000 0.0000 0.8750
Cd 0.3333 0.6667 0.1250
Cd 0.3333 0.6667 0.3125
Cd 0.3333 0.6667 0.4375
Cd 0.3333 0.6667 0.5625
Cd 0.3333 0.6667 0.6874
Cd 0.3333 0.6667 0.8125
Cd 0.3333 0.6667 0.9375
I 0.0000 0.0000 0.1113
I 0.0000 0.0000 0.2988
I 0.0000 0.0000 0.4238
I 0.0000 0.0000 0.5487
I 0.0000 0.0000 0.6737
I 0.0000 0.0000 0.7988
I 0.0000 0.0000 0.9238
I 0.3333 0.6667 0.0488
I 0.3333 0.6667 0.1738
I 0.3333 0.6667 0.2363
I 0.3333 0.6667 0.3613
I 0.3333 0.6667 0.4863
I 0.3333 0.6667 0.6114
I 0.3333 0.6667 0.7363
I 0.3333 0.6667 0.8613
I 0.3333 0.6667 0.9863
I 0.6667 0.3333 0.0137
I 0.6667 0.3333 0.0762
I 0.6667 0.3333 0.1387
I 0.6667 0.3333 0.2011
I 0.6667 0.3333 0.2636
I 0.6667 0.3333 0.3261
I 0.6667 0.3333 0.3887
I 0.6667 0.3333 0.4512
I 0.6667 0.3333 0.5137
I 0.6667 0.3333 0.5762
I 0.6667 0.3333 0.6387
I 0.6667 0.3333 0.7011
I 0.6667 0.3333 0.7636
I 0.6667 0.3333 0.8261
I 0.6667 0.3333 0.8886
I 0.6667 0.3333 0.9512

Principal peaks in the range 2θ = 10–80°, most intense first:
26.29 deg, intensity 100, (1 0 16)
11.25 deg, intensity 87, (0 0 16)
41.64 deg, intensity 53, (1 1 0)
32.98 deg, intensity 29, (1 0 32)
29.25 deg, intensity 26, (1 0 24)
42.04 deg, intensity 26, (0 1 48)